# TbHo2UO8
Simulated powder X-ray diffraction pattern, Cu Kα, 1.54184 Å. Input: a cell relaxed with PBE.
Lines closer than 0.1° are merged.

Largest 10 diffraction maxima, by angle, 5° ≤ 2θ ≤ 70°:
d = 3.122 Å, 2θ = 28.59°, intensity 100, hkl 1 1 0
d = 3.071 Å, 2θ = 29.08°, intensity 96, hkl 0 1 2
d = 2.695 Å, 2θ = 33.24°, intensity 45, hkl 1 0 2
d = 2.655 Å, 2θ = 33.76°, intensity 21, hkl 0 2 0
d = 1.930 Å, 2θ = 47.09°, intensity 18, hkl 2 0 0
d = 1.891 Å, 2θ = 48.11°, intensity 66, hkl 1 2 2
d = 1.882 Å, 2θ = 48.35°, intensity 16, hkl 0 0 4
d = 1.634 Å, 2θ = 56.30°, intensity 31, hkl 2 1 2
d = 1.612 Å, 2θ = 57.14°, intensity 29, hkl 1 1 4
d = 1.609 Å, 2θ = 57.26°, intensity 15, hkl 1 3 0

```
TbHo2UO8
1.0
3.860 0.000 0.000
0.000 5.310 0.000
0.000 0.000 7.530
Tb Ho U O
1 2 1 8
Cartesian
0.000 0.000 0.000 Tb
1.930 2.655 1.883 Ho
1.930 2.655 5.647 Ho
0.000 0.000 3.765 U
0.000 1.289 2.047 O
0.000 1.289 5.483 O
0.000 4.021 2.047 O
0.000 4.021 5.483 O
1.930 1.237 3.765 O
1.930 1.346 0.000 O
1.930 3.964 0.000 O
1.930 4.073 3.765 O
```